# 1
Calculated X-ray powder pattern
Compound: Mo4Pb
Radiation: Cu Kα
Structure: a crystal structure in Alexandria, relaxed with GGA-PBE

Most intense lines, 2θ from 15° to 90°, by intensity:
2θ (°)	I_rel
42.3	100
20.8	72
36.4	36
77.4	34
57.0	20
47.6	17
61.4	16
29.6	14
81.2	12
65.6	10

Structural model:
```
data_Mo4Pb
_symmetry_space_group_name_H-M 'I m -3 m'
_symmetry_Int_Tables_number 229
_symmetry_space_group_name_Hall '-I 4 2 3'
_cell_length_a 6.041
_cell_length_b 6.041
_cell_length_c 6.041
_cell_angle_alpha 90.00
_cell_angle_beta 90.00
_cell_angle_gamma 90.00
loop_
_atom_site_label
_atom_site_fract_x
_atom_site_fract_y
_atom_site_fract_z
Mo1 0.250 0.250 0.250
Pb1 0.000 0.000 0.000
```



# 2
Calculated X-ray powder pattern
Compound: MoPb2
Radiation: Cu Kα
Structure: a crystal structure in Alexandria, relaxed with GGA-PBE

Most intense lines, 2θ from 15° to 90°, by intensity:
2θ (°)	I_rel
34.7	100
25.5	83
42.6	63
34.0	50
38.7	37
52.5	30
28.7	30
37.7	23
55.6	21
80.8	18

Structural model:
```
data_MoPb2
_symmetry_space_group_name_H-M 'A m m 2'
_symmetry_Int_Tables_number 38
_cell_length_a 4.654
_cell_length_b 3.251
_cell_length_c 10.540
_cell_angle_alpha 90.00
_cell_angle_beta 90.00
_cell_angle_gamma 90.00
loop_
_symmetry_equiv_pos_as_xyz
'x,y,z'
'-x,-y,z'
'-x,y,z'
'x,-y,z'
'x,y+1/2,z+1/2'
'-x,-y+1/2,z+1/2'
'-x,y+1/2,z+1/2'
'x,-y+1/2,z+1/2'
loop_
_atom_site_label
_atom_site_fract_x
_atom_site_fract_y
_atom_site_fract_z
Mo1 0.000 0.000 0.000
Pb1 0.000 0.000 0.730
Pb2 0.500 0.000 0.478
```



# 3
Calculated X-ray powder pattern
Compound: Mo3Pb5
Radiation: Cu Kα
Structure: a crystal structure in Alexandria, relaxed with GGA-PBE

Most intense lines, 2θ from 15° to 90°, by intensity:
2θ (°)	I_rel
35.5	100
37.0	18
63.7	15
52.2	14
65.8	13
75.2	9
62.7	7
50.0	7
63.8	7
87.7	7

Structural model:
```
data_Mo3Pb5
_symmetry_space_group_name_H-M 'C m m m'
_symmetry_Int_Tables_number 65
_symmetry_space_group_name_Hall '-C 2 2'
_cell_length_a 7.300
_cell_length_b 9.710
_cell_length_c 5.066
_cell_angle_alpha 90.00
_cell_angle_beta 90.00
_cell_angle_gamma 90.00
loop_
_atom_site_label
_atom_site_fract_x
_atom_site_fract_y
_atom_site_fract_z
Mo1 0.000 0.000 0.000
Mo2 0.000 0.247 0.500
Pb1 0.000 0.500 0.000
Pb2 0.227 0.000 0.500
Pb3 0.250 0.250 0.000
```



# 4
Calculated X-ray powder pattern
Compound: Mo3Pb2
Radiation: Cu Kα
Structure: a crystal structure in Alexandria, relaxed with GGA-PBE

Most intense lines, 2θ from 15° to 90°, by intensity:
2θ (°)	I_rel
35.0	100
36.8	77
32.7	37
44.3	35
33.8	28
39.4	22
25.4	20
38.8	16
64.9	15
37.5	15

Structural model:
```
data_Mo3Pb2
_symmetry_space_group_name_H-M 'F d d 2'
_symmetry_Int_Tables_number 43
_symmetry_space_group_name_Hall 'F 2 -2d'
_cell_length_a 9.602
_cell_length_b 15.065
_cell_length_c 5.673
_cell_angle_alpha 90.00
_cell_angle_beta 90.00
_cell_angle_gamma 90.00
loop_
_atom_site_label
_atom_site_fract_x
_atom_site_fract_y
_atom_site_fract_z
Mo1 0.000 0.000 0.000
Mo2 0.029 0.396 0.178
Pb1 0.049 0.300 0.651
```